1.
Simulated powder XRD pattern of TbNd6Sc3 for Cu Ka, from a structure optimized by DFT (GGA-PBE).
Kinematic intensities with the Lorentz-polarization factor, no thermal factor.

Most intense lines, 15° ≤ 2θ ≤ 90°, in order of rising 2θ:
2θ = 29.4°, 3.043 Å, rel. 100; 2θ = 31.7°, 2.823 Å, rel. 95; 2θ = 43.7°, 2.069 Å, rel. 34; 2θ = 55.0°, 1.669 Å, rel. 34; 2θ = 56.5°, 1.630 Å, rel. 18; 2θ = 57.6°, 1.601 Å, rel. 25

Crystal structure
Cell lengths 6.8546, 6.8546, 6.8546 Å; angles 91.02, 91.02, 91.02 degrees
Element x y z (fractional)
1 Tb 0.0000 0.0000 0.0000
2 Nd 0.0000 0.3375 0.6625
3 Nd 0.1663 0.8337 0.5000
4 Nd 0.3375 0.6625 0.0000
5 Nd 0.5000 0.1663 0.8337
6 Nd 0.6625 0.0000 0.3375
7 Nd 0.8337 0.5000 0.1663
8 Sc 0.2581 0.2581 0.2581
9 Sc 0.5000 0.5000 0.5000
10 Sc 0.7419 0.7419 0.7419

=====

2.
Simulated powder XRD pattern of PrZnGaPd3 for Cu Ka, from a structure optimized by DFT (GGA-PBE).
Kinematic intensities with the Lorentz-polarization factor, no thermal factor.

Most intense lines, 15° ≤ 2θ ≤ 90°, in order of rising 2θ:
2θ = 30.5°, 2.936 Å, rel. 65; 2θ = 33.3°, 2.694 Å, rel. 41; 2θ = 34.4°, 2.608 Å, rel. 56; 2θ = 41.3°, 2.186 Å, rel. 100; 2θ = 42.5°, 2.129 Å, rel. 36; 2θ = 43.1°, 2.098 Å, rel. 55

Crystal structure
Cell lengths 6.9541, 6.9541, 5.7706 Å; angles 90.00, 90.00, 122.40 degrees
Element x y z (fractional)
1 Pr 0.2075 0.7925 0.7500
2 Pr 0.7925 0.2075 0.2500
3 Zn 0.4533 0.5467 0.7500
4 Zn 0.5467 0.4533 0.2500
5 Ga 0.1302 0.8698 0.2500
6 Ga 0.8698 0.1302 0.7500
7 Pd 0.2075 0.2075 0.0000
8 Pd 0.2075 0.2075 0.5000
9 Pd 0.3336 0.6664 0.2500
10 Pd 0.6664 0.3336 0.7500
11 Pd 0.7925 0.7925 0.0000
12 Pd 0.7925 0.7925 0.5000

=====

3.
Simulated powder XRD pattern of La2MgAl2Pt5 for Cu Ka, from a structure optimized by DFT (GGA-PBE).
Kinematic intensities with the Lorentz-polarization factor, no thermal factor.

Most intense lines, 15° ≤ 2θ ≤ 90°, in order of rising 2θ:
2θ = 26.0°, 3.426 Å, rel. 35; 2θ = 32.3°, 2.776 Å, rel. 51; 2θ = 34.9°, 2.569 Å, rel. 98; 2θ = 36.0°, 2.496 Å, rel. 42; 2θ = 37.6°, 2.395 Å, rel. 100; 2θ = 40.5°, 2.230 Å, rel. 47

Crystal structure
Cell lengths 10.5915, 10.5915, 3.4255 Å; angles 90.00, 90.00, 90.00 degrees
Element x y z (fractional)
1 La 0.1775 0.3225 0.0000
2 La 0.3225 0.8225 0.0000
3 La 0.6775 0.1775 0.0000
4 La 0.8225 0.6775 0.0000
5 Mg 0.0000 0.0000 0.0000
6 Mg 0.5000 0.5000 0.0000
7 Al 0.1241 0.6241 0.0000
8 Al 0.3759 0.1241 0.0000
9 Al 0.6241 0.8759 0.0000
10 Al 0.8759 0.3759 0.0000
11 Pt 0.0000 0.5000 0.5000
12 Pt 0.0589 0.7928 0.5000
13 Pt 0.2072 0.0589 0.5000
14 Pt 0.2928 0.5589 0.5000
15 Pt 0.4411 0.2928 0.5000
16 Pt 0.5000 0.0000 0.5000
17 Pt 0.5589 0.7072 0.5000
18 Pt 0.7072 0.4411 0.5000
19 Pt 0.7928 0.9411 0.5000
20 Pt 0.9411 0.2072 0.5000

=====

4.
Simulated powder XRD pattern of NdAgSn for Cu Ka, from a structure optimized by DFT (GGA-PBE).
Kinematic intensities with the Lorentz-polarization factor, no thermal factor.

Most intense lines, 15° ≤ 2θ ≤ 90°, in order of rising 2θ:
2θ = 31.7°, 2.820 Å, rel. 100; 2θ = 37.3°, 2.409 Å, rel. 77; 2θ = 41.5°, 2.176 Å, rel. 16; 2θ = 49.8°, 1.832 Å, rel. 28; 2θ = 61.9°, 1.498 Å, rel. 17; 2θ = 63.8°, 1.458 Å, rel. 27

Crystal structure
Cell lengths 4.8176, 4.8176, 7.6530 Å; angles 90.00, 90.00, 120.00 degrees
Element x y z (fractional)
1 Nd 0.0000 0.0000 0.0000
2 Nd 0.0000 0.0000 0.5000
3 Ag 0.3333 0.6667 0.3026
4 Ag 0.6667 0.3333 0.8026
5 Sn 0.3333 0.6667 0.7203
6 Sn 0.6667 0.3333 0.2203